1.
Starting from the PBE geometry in Alexandria, the powder diffraction line list of Tb3Pm4Y5 was calculated for Cu Kα (λ = 1.5418 Å).

Structure:
a = 6.228 Å, b = 7.187 Å, c = 8.800 Å
α = 90.08°, β = 90.02°, γ = 90.09°
Positions (direct):
Tb (0.000, 0.000, 0.000)
Tb (0.167, 0.751, 0.669)
Tb (0.833, 0.249, 0.331)
Pm (0.166, 0.249, 0.668)
Pm (0.333, 0.500, 0.334)
Pm (0.667, 0.500, 0.666)
Pm (0.834, 0.751, 0.332)
Y (0.000, 0.500, 0.000)
Y (0.333, 0.000, 0.332)
Y (0.499, 0.751, 0.000)
Y (0.501, 0.249, 0.000)
Y (0.667, 0.000, 0.668)

Largest 10 diffraction maxima, most intense first, 5° ≤ 2θ ≤ 70°:
- 30.46°, I 1000
- 35.32°, I 504
- 50.81°, I 355
- 60.37°, I 281
- 60.46°, I 139
- 63.39°, I 121
- 15.92°, I 15
- 10.05°, I 14
- 14.22°, I 11
- 18.86°, I 10


2.
Starting from the PBE geometry in Alexandria, the powder diffraction line list of Tb2Pm2Y was calculated for Cu Kα (λ = 1.5418 Å).

Structure:
a = 8.675 Å, b = 8.675 Å, c = 6.838 Å
α = 101.13°, β = 101.13°, γ = 41.48°
Positions (direct):
Tb (0.019, 0.171, 0.146)
Tb (0.171, 0.019, 0.646)
Tb (0.829, 0.981, 0.354)
Tb (0.981, 0.829, 0.854)
Pm (0.253, 0.354, 0.423)
Pm (0.354, 0.253, 0.923)
Pm (0.646, 0.747, 0.077)
Pm (0.747, 0.646, 0.577)
Y (0.428, 0.572, 0.250)
Y (0.572, 0.428, 0.750)

Largest 10 diffraction maxima, most intense first, 5° ≤ 2θ ≤ 70°:
- 32.05°, I 1000
- 31.72°, I 815
- 31.08°, I 498
- 29.07°, I 285
- 43.07°, I 189
- 34.97°, I 162
- 55.49°, I 161
- 53.46°, I 139
- 56.12°, I 135
- 48.25°, I 135


3.
Starting from the PBE geometry in Alexandria, the powder diffraction line list of TbPmY5 was calculated for Cu Kα (λ = 1.5418 Å).

Structure:
a = 6.557 Å, b = 6.557 Å, c = 11.585 Å
α = 103.75°, β = 103.75°, γ = 95.40°
Positions (direct):
Tb (0.243, 0.757, 0.750)
Tb (0.757, 0.243, 0.250)
Pm (0.000, 0.500, 0.000)
Pm (0.500, 0.000, 0.500)
Y (0.053, 0.193, 0.665)
Y (0.193, 0.053, 0.165)
Y (0.228, 0.431, 0.464)
Y (0.412, 0.588, 0.250)
Y (0.431, 0.228, 0.964)
Y (0.569, 0.772, 0.036)
Y (0.588, 0.412, 0.750)
Y (0.772, 0.569, 0.536)
Y (0.807, 0.947, 0.835)
Y (0.947, 0.807, 0.335)

Largest 10 diffraction maxima, most intense first, 5° ≤ 2θ ≤ 70°:
- 31.88°, I 1000
- 32.30°, I 455
- 31.54°, I 399
- 28.74°, I 255
- 24.90°, I 210
- 32.19°, I 208
- 56.96°, I 139
- 21.98°, I 131
- 56.37°, I 128
- 36.30°, I 119


4.
Starting from the PBE geometry in Alexandria, the powder diffraction line list of Tb5PmY5 was calculated for Cu Kα (λ = 1.5418 Å).

Structure:
a = 6.908 Å, b = 6.955 Å, c = 8.397 Å
α = 76.32°, β = 76.41°, γ = 72.31°
Positions (direct):
Tb (0.000, 0.000, 0.000)
Tb (0.155, 0.634, 0.358)
Tb (0.352, 0.250, 0.720)
Tb (0.648, 0.750, 0.280)
Tb (0.845, 0.366, 0.642)
Pm (0.000, 0.500, 0.000)
Y (0.211, 0.139, 0.308)
Y (0.325, 0.772, 0.650)
Y (0.500, 0.500, 0.000)
Y (0.675, 0.228, 0.350)
Y (0.789, 0.861, 0.692)

Largest 10 diffraction maxima, most intense first, 5° ≤ 2θ ≤ 70°:
- 32.13°, I 1000
- 31.54°, I 988
- 32.30°, I 727
- 32.01°, I 701
- 33.48°, I 573
- 31.40°, I 514
- 33.87°, I 307
- 23.92°, I 248
- 48.06°, I 207
- 44.30°, I 200


5.
Starting from the PBE geometry in Alexandria, the powder diffraction line list of TbPm12Y3 was calculated for Cu Kα (λ = 1.5418 Å).

Structure:
a = 5.137 Å, b = 5.137 Å, c = 20.497 Å
α = 90.00°, β = 90.00°, γ = 90.00°
Positions (direct):
Tb (0.000, 0.000, 0.000)
Pm (0.000, 0.500, 0.125)
Pm (0.000, 0.500, 0.375)
Pm (0.000, 0.500, 0.625)
Pm (0.000, 0.500, 0.875)
Pm (0.500, 0.000, 0.125)
Pm (0.500, 0.000, 0.375)
Pm (0.500, 0.000, 0.625)
Pm (0.500, 0.000, 0.875)
Pm (0.500, 0.500, 0.000)
Pm (0.500, 0.500, 0.250)
Pm (0.500, 0.500, 0.500)
Pm (0.500, 0.500, 0.750)
Y (0.000, 0.000, 0.250)
Y (0.000, 0.000, 0.500)
Y (0.000, 0.000, 0.750)

Largest 10 diffraction maxima, most intense first, 5° ≤ 2θ ≤ 70°:
- 30.16°, I 1000
- 34.96°, I 506
- 50.28°, I 360
- 59.71°, I 286
- 59.83°, I 142
- 62.70°, I 123
- 17.28°, I 14
- 24.53°, I 13
- 39.25°, I 8
- 43.17°, I 6


6.
Starting from the PBE geometry in Alexandria, the powder diffraction line list of Tb2PmY6 was calculated for Cu Kα (λ = 1.5418 Å).

Structure:
a = 11.891 Å, b = 11.891 Å, c = 5.748 Å
α = 103.94°, β = 103.94°, γ = 48.02°
Positions (direct):
Tb (0.168, 0.332, 0.035)
Tb (0.332, 0.168, 0.535)
Tb (0.668, 0.832, 0.465)
Tb (0.832, 0.668, 0.965)
Pm (0.250, 0.750, 0.750)
Pm (0.750, 0.250, 0.250)
Y (0.002, 0.166, 0.804)
Y (0.083, 0.583, 0.584)
Y (0.166, 0.002, 0.304)
Y (0.334, 0.498, 0.137)
Y (0.417, 0.917, 0.916)
Y (0.498, 0.334, 0.637)
Y (0.502, 0.666, 0.363)
Y (0.583, 0.083, 0.084)
Y (0.666, 0.502, 0.863)
Y (0.834, 0.998, 0.696)
Y (0.917, 0.417, 0.416)
Y (0.998, 0.834, 0.196)

Largest 10 diffraction maxima, most intense first, 5° ≤ 2θ ≤ 70°:
- 31.81°, I 1000
- 31.36°, I 908
- 31.12°, I 488
- 31.59°, I 474
- 44.94°, I 324
- 62.61°, I 278
- 56.68°, I 179
- 55.80°, I 158
- 45.62°, I 155
- 56.25°, I 152


7.
Starting from the PBE geometry in Alexandria, the powder diffraction line list of Tb5Pm2Y2 was calculated for Cu Kα (λ = 1.5418 Å).

Structure:
a = 8.014 Å, b = 8.014 Å, c = 8.010 Å
α = 107.46°, β = 107.46°, γ = 36.86°
Positions (direct):
Tb (0.000, 0.000, 0.000)
Tb (0.222, 0.222, 0.332)
Tb (0.333, 0.333, 0.000)
Tb (0.667, 0.667, 0.000)
Tb (0.778, 0.778, 0.668)
Pm (0.112, 0.112, 0.668)
Pm (0.888, 0.888, 0.332)
Y (0.444, 0.444, 0.668)
Y (0.556, 0.556, 0.332)

Largest 10 diffraction maxima, most intense first, 5° ≤ 2θ ≤ 70°:
- 30.56°, I 1000
- 35.43°, I 504
- 60.61°, I 424
- 50.97°, I 358
- 63.61°, I 122
- 12.27°, I 14
- 18.56°, I 12
- 11.65°, I 9
- 22.99°, I 7
- 25.54°, I 5


8.
Starting from the PBE geometry in Alexandria, the powder diffraction line list of TbPm6Y was calculated for Cu Kα (λ = 1.5418 Å).

Structure:
a = 5.134 Å, b = 5.134 Å, c = 10.264 Å
α = 90.00°, β = 90.00°, γ = 90.00°
Positions (direct):
Tb (0.000, 0.000, 0.000)
Pm (0.000, 0.500, 0.250)
Pm (0.000, 0.500, 0.750)
Pm (0.500, 0.000, 0.250)
Pm (0.500, 0.000, 0.750)
Pm (0.500, 0.500, 0.000)
Pm (0.500, 0.500, 0.500)
Y (0.000, 0.000, 0.500)

Largest 8 diffraction maxima, most intense first, 5° ≤ 2θ ≤ 70°:
- 30.15°, I 1000
- 34.96°, I 506
- 59.75°, I 429
- 50.27°, I 361
- 62.69°, I 124
- 8.61°, I 14
- 19.33°, I 10
- 26.04°, I 6


9.
Starting from the PBE geometry in Alexandria, the powder diffraction line list of Tb5Pm3Y2 was calculated for Cu Kα (λ = 1.5418 Å).

Structure:
a = 9.517 Å, b = 9.517 Å, c = 9.574 Å
α = 108.35°, β = 108.35°, γ = 111.07°
Positions (direct):
Tb (0.023, 0.977, 0.750)
Tb (0.148, 0.383, 0.779)
Tb (0.271, 0.729, 0.250)
Tb (0.383, 0.148, 0.279)
Tb (0.470, 0.530, 0.250)
Tb (0.530, 0.470, 0.750)
Tb (0.617, 0.852, 0.721)
Tb (0.729, 0.271, 0.750)
Tb (0.852, 0.617, 0.221)
Tb (0.977, 0.023, 0.250)
Pm (0.018, 0.269, 0.048)
Pm (0.231, 0.769, 0.750)
Pm (0.269, 0.018, 0.548)
Pm (0.731, 0.982, 0.452)
Pm (0.769, 0.231, 0.250)
Pm (0.982, 0.731, 0.952)
Y (0.226, 0.464, 0.454)
Y (0.464, 0.226, 0.954)
Y (0.536, 0.774, 0.046)
Y (0.774, 0.536, 0.546)

Largest 10 diffraction maxima, most intense first, 5° ≤ 2θ ≤ 70°:
- 30.35°, I 1000
- 33.27°, I 423
- 30.08°, I 420
- 30.26°, I 411
- 32.05°, I 180
- 48.92°, I 176
- 22.35°, I 157
- 57.72°, I 147
- 36.15°, I 141
- 38.26°, I 119


10.
Starting from the PBE geometry in Alexandria, the powder diffraction line list of Tb2Pm4Y was calculated for Cu Kα (λ = 1.5418 Å).

Structure:
a = 8.972 Å, b = 8.972 Å, c = 11.575 Å
α = 130.15°, β = 130.15°, γ = 45.19°
Positions (direct):
Tb (0.000, 0.000, 0.000)
Tb (0.298, 0.138, 0.469)
Tb (0.862, 0.702, 0.531)
Tb (0.999, 0.001, 0.500)
Pm (0.306, 0.373, 0.340)
Pm (0.306, 0.374, 0.840)
Pm (0.307, 0.693, 0.251)
Pm (0.307, 0.693, 0.749)
Pm (0.626, 0.694, 0.160)
Pm (0.627, 0.694, 0.660)
Pm (0.742, 0.257, 0.750)
Pm (0.743, 0.258, 0.250)
Y (0.298, 0.139, 0.968)
Y (0.861, 0.702, 0.032)

Largest 10 diffraction maxima, most intense first, 5° ≤ 2θ ≤ 70°:
- 30.30°, I 1000
- 30.90°, I 603
- 30.17°, I 598
- 33.83°, I 552
- 54.56°, I 281
- 55.93°, I 266
- 33.98°, I 234
- 29.98°, I 217
- 25.99°, I 166
- 43.60°, I 155


11.
Starting from the PBE geometry in Alexandria, the powder diffraction line list of Tb4Pm2Y5 was calculated for Cu Kα (λ = 1.5418 Å).

Structure:
a = 12.102 Å, b = 12.102 Å, c = 8.772 Å
α = 96.32°, β = 96.32°, γ = 16.53°
Positions (direct):
Tb (0.046, 0.046, 0.361)
Tb (0.323, 0.323, 0.528)
Tb (0.677, 0.677, 0.472)
Tb (0.954, 0.954, 0.639)
Pm (0.091, 0.091, 0.738)
Pm (0.909, 0.909, 0.262)
Y (0.141, 0.141, 0.119)
Y (0.232, 0.232, 0.824)
Y (0.500, 0.500, 0.000)
Y (0.768, 0.768, 0.176)
Y (0.859, 0.859, 0.881)

Largest 10 diffraction maxima, most intense first, 5° ≤ 2θ ≤ 70°:
- 30.65°, I 1000
- 30.85°, I 953
- 32.15°, I 866
- 30.29°, I 690
- 36.92°, I 485
- 29.41°, I 371
- 25.88°, I 347
- 10.15°, I 327
- 63.02°, I 326
- 31.86°, I 266


12.
Starting from the PBE geometry in Alexandria, the powder diffraction line list of Tb3Pm12Y was calculated for Cu Kα (λ = 1.5418 Å).

Structure:
a = 5.136 Å, b = 5.136 Å, c = 20.495 Å
α = 90.00°, β = 90.00°, γ = 90.00°
Positions (direct):
Tb (0.000, 0.000, 0.000)
Tb (0.000, 0.000, 0.250)
Tb (0.000, 0.000, 0.750)
Pm (0.000, 0.500, 0.125)
Pm (0.000, 0.500, 0.375)
Pm (0.000, 0.500, 0.625)
Pm (0.000, 0.500, 0.875)
Pm (0.500, 0.000, 0.125)
Pm (0.500, 0.000, 0.375)
Pm (0.500, 0.000, 0.625)
Pm (0.500, 0.000, 0.875)
Pm (0.500, 0.500, 0.000)
Pm (0.500, 0.500, 0.250)
Pm (0.500, 0.500, 0.500)
Pm (0.500, 0.500, 0.750)
Y (0.000, 0.000, 0.500)

Largest 6 diffraction maxima, most intense first, 5° ≤ 2θ ≤ 70°:
- 30.16°, I 1000
- 34.97°, I 506
- 50.29°, I 362
- 59.73°, I 288
- 59.84°, I 143
- 62.71°, I 124


13.
Starting from the PBE geometry in Alexandria, the powder diffraction line list of TbPm2Y4 was calculated for Cu Kα (λ = 1.5418 Å).

Structure:
a = 8.951 Å, b = 8.951 Å, c = 11.638 Å
α = 130.51°, β = 130.51°, γ = 44.33°
Positions (direct):
Tb (0.223, 0.223, 0.473)
Tb (0.777, 0.777, 0.527)
Pm (0.222, 0.222, 0.972)
Pm (0.778, 0.778, 0.028)
Pm (0.888, 0.112, 0.500)
Pm (0.889, 0.111, 0.000)
Y (0.215, 0.471, 0.344)
Y (0.215, 0.784, 0.750)
Y (0.216, 0.470, 0.842)
Y (0.216, 0.785, 0.250)
Y (0.529, 0.785, 0.656)
Y (0.530, 0.784, 0.158)
Y (0.660, 0.337, 0.748)
Y (0.663, 0.340, 0.252)

Largest 10 diffraction maxima, most intense first, 5° ≤ 2θ ≤ 70°:
- 30.45°, I 1000
- 34.25°, I 549
- 30.73°, I 536
- 30.61°, I 368
- 56.75°, I 298
- 34.04°, I 190
- 43.83°, I 188
- 56.35°, I 173
- 30.25°, I 160
- 54.51°, I 142